# 1
Simulated X-ray powder pattern of Sn2Pd for Cu Kα X-rays, from a cell relaxed with GGA-PBE.

The 12 most intense peaks (2θ from 10° to 90°), sorted by position:
hkl, Position (°2θ), intensity
0 0 8, 28.8, 45
2 1 1, 30.6, 22
2 0 4, 30.8, 18
2 1 3, 32.3, 21
2 1 5, 35.5, 17
2 2 0, 38.7, 44
2 0 8, 39.9, 100
1 1 10, 41.2, 20
3 1 2, 44.1, 42
4 0 4, 58.0, 17
4 2 4, 65.1, 18
4 2 8, 70.9, 18

Atomic structure:
a = 6.583 Å, b = 6.583 Å, c = 24.813 Å
α = 90.00°, β = 90.00°, γ = 90.00°
Space group I4_1/acd (No. 142, origin choice 2)
Unique sites:
Sn1 0.159 0.091 0.125
Sn2 0.247 0.000 0.750
Pd1 0.000 0.250 0.317

# 2
Simulated X-ray powder pattern of Sn2Pd3 for Cu Kα X-rays, from a cell relaxed with GGA-PBE.

The 12 most intense peaks (2θ from 10° to 90°), sorted by position:
hkl, Position (°2θ), intensity
2 2 0, 31.6, 39
0 0 2, 33.6, 51
1 1 2, 37.2, 60
1 4 1, 39.6, 100
2 3 1, 40.6, 41
3 1 0, 41.7, 33
2 4 0, 43.0, 36
2 0 2, 43.5, 66
3 2 1, 47.5, 58
0 4 2, 47.8, 53
1 8 1, 73.3, 29
5 2 1, 75.9, 28

Atomic structure:
a = 6.635 Å, b = 10.865 Å, c = 5.337 Å
α = 90.00°, β = 90.00°, γ = 90.00°
Space group Ibam (No. 72)
Unique sites:
Sn1 0.250 0.162 0.000
Pd1 0.000 0.000 0.250
Pd2 0.144 0.404 0.000

# 3
Simulated X-ray powder pattern of SnPd2 for Cu Kα X-rays, from a cell relaxed with GGA-PBE.

The 12 most intense peaks (2θ from 10° to 90°), sorted by position:
hkl, Position (°2θ), intensity
1 0 3, 36.3, 15
2 1 0, 37.5, 59
2 0 2, 38.3, 26
0 1 3, 38.8, 100
2 1 1, 39.1, 73
0 2 0, 41.2, 57
1 1 3, 42.0, 23
2 0 3, 45.8, 25
2 2 2, 57.5, 16
2 2 3, 63.3, 19
1 0 6, 70.7, 14
0 3 3, 73.4, 15

Atomic structure:
a = 5.738 Å, b = 4.384 Å, c = 8.218 Å
α = 90.00°, β = 90.00°, γ = 90.00°
Space group Pnma (No. 62)
Unique sites:
Sn1 0.204 0.250 0.109
Pd1 0.045 0.250 0.788
Pd2 0.174 0.250 0.437

# 4
Simulated X-ray powder pattern of SrSn8Pd2 for Cu Kα X-rays, from a cell relaxed with GGA-PBE.

The 12 most intense peaks (2θ from 10° to 90°), sorted by position:
hkl, Position (°2θ), intensity
0 0 1, 10.6, 83
1 1 1, 22.2, 28
2 0 0, 27.5, 38
0 0 3, 32.3, 15
2 0 2, 35.1, 100
2 2 0, 39.3, 55
2 0 3, 43.0, 51
2 2 3, 51.8, 16
4 0 0, 56.8, 19
4 2 2, 68.6, 29
2 2 5, 69.9, 15
4 2 3, 73.8, 21

Atomic structure:
a = 6.482 Å, b = 6.482 Å, c = 8.308 Å
α = 90.00°, β = 90.00°, γ = 90.00°
Space group P4/mmm (No. 123)
Unique sites:
Sr1 0.000 0.000 0.000
Sn1 0.256 0.256 0.306
Pd1 0.000 0.500 0.500

# 5
Simulated X-ray powder pattern of Sr3Sn3Pd2 for Cu Kα X-rays, from a cell relaxed with GGA-PBE.

The 12 most intense peaks (2θ from 10° to 90°), sorted by position:
hkl, Position (°2θ), intensity
0 2 0, 15.5, 23
1 1 4, 29.8, 100
1 3 1, 30.4, 39
0 2 5, 31.6, 17
0 0 6, 33.0, 16
1 3 3, 34.3, 42
0 4 3, 35.4, 30
1 3 4, 37.3, 49
2 0 0, 37.5, 48
1 1 7, 44.0, 20
2 4 3, 52.6, 20
1 7 0, 59.7, 25

Atomic structure:
a = 4.795 Å, b = 11.461 Å, c = 16.276 Å
α = 90.00°, β = 90.00°, γ = 90.00°
Space group Cmcm (No. 63)
Unique sites:
Sr1 0.000 0.077 0.111
Sr2 0.000 0.366 0.250
Sn1 0.000 0.334 0.750
Sn2 0.000 0.363 0.036
Pd1 0.000 0.211 0.601

# 6
Simulated X-ray powder pattern of Sr3Sn8Pd3 for Cu Kα X-rays, from a cell relaxed with GGA-PBE.

The 12 most intense peaks (2θ from 10° to 90°), sorted by position:
hkl, Position (°2θ), intensity
1 1 2, 31.4, 66
5 1 -2, 31.5, 75
3 1 -3, 31.8, 34
3 1 1, 32.3, 59
1 1 -3, 34.3, 49
0 2 0, 35.3, 100
6 0 0, 38.6, 41
5 1 -4, 40.3, 54
1 1 3, 41.1, 24
7 1 -3, 41.3, 30
6 2 0, 53.3, 33
11 1 -4, 62.1, 26

Atomic structure:
a = 17.227 Å, b = 5.085 Å, c = 10.136 Å
α = 90.00°, β = 125.74°, γ = 90.00°
Space group C2/m (No. 12)
Unique sites:
Sr1 0.000 0.000 0.000
Sr2 0.210 0.500 0.702
Sn1 0.001 0.500 0.332
Sn2 0.140 0.000 0.849
Sn3 0.149 0.000 0.432
Sn4 0.151 0.500 0.042
Pd1 0.000 0.000 0.500
Pd2 0.152 0.500 0.311

# 7
Simulated X-ray powder pattern of Sr6SnPd2 for Cu Kα X-rays, from a cell relaxed with GGA-PBE.

The 12 most intense peaks (2θ from 10° to 90°), sorted by position:
hkl, Position (°2θ), intensity
0 2 0, 12.3, 42
1 3 3, 29.4, 100
2 0 0, 32.2, 29
0 0 6, 32.3, 27
1 5 3, 38.8, 45
2 0 6, 46.3, 20
3 3 3, 55.7, 16
1 3 9, 55.9, 15
2 8 0, 61.4, 18
3 5 3, 61.9, 12
1 5 9, 62.0, 10
2 8 6, 71.1, 11

Atomic structure:
a = 5.554 Å, b = 14.413 Å, c = 16.608 Å
α = 90.00°, β = 90.00°, γ = 90.00°
Space group Fmmm (No. 69)
Unique sites:
Sr1 0.000 0.123 0.173
Sr2 0.000 0.132 0.500
Sn1 0.000 0.000 0.000
Pd1 0.000 0.000 0.341

# 8
Simulated X-ray powder pattern of Sr2Sn5Pd3 for Cu Kα X-rays, from a cell relaxed with GGA-PBE.

The 12 most intense peaks (2θ from 10° to 90°), sorted by position:
hkl, Position (°2θ), intensity
1 3 2, 32.2, 100
0 10 1, 35.0, 14
1 9 0, 35.3, 16
0 4 3, 38.2, 13
2 0 0, 38.7, 34
0 6 3, 41.1, 8
1 3 3, 42.1, 13
1 9 2, 43.0, 22
2 10 1, 53.1, 8
2 4 3, 55.5, 9
1 13 3, 60.9, 15
3 3 2, 65.9, 13

Atomic structure:
a = 4.658 Å, b = 27.289 Å, c = 7.521 Å
α = 90.00°, β = 90.00°, γ = 90.00°
Space group Cmc2_1 (No. 36)
Unique sites:
Sr1 0.000 0.023 0.000
Sr2 0.000 0.325 0.972
Sn1 0.000 0.097 0.626
Sn2 0.000 0.205 0.170
Sn3 0.000 0.209 0.759
Sn4 0.000 0.380 0.502
Sn5 0.000 0.449 0.833
Pd1 0.000 0.108 0.259
Pd2 0.000 0.278 0.463
Pd3 0.000 0.448 0.213

# 9
Simulated X-ray powder pattern of Sr2Sn4Pd9 for Cu Kα X-rays, from a cell relaxed with GGA-PBE.

The 12 most intense peaks (2θ from 10° to 90°), sorted by position:
hkl, Position (°2θ), intensity
0 0 2, 10.2, 31
0 0 4, 20.4, 13
0 1 5, 34.4, 43
1 0 6, 38.5, 42
1 1 0, 39.6, 100
0 1 7, 43.0, 14
2 0 5, 53.4, 12
0 2 6, 56.4, 14
1 2 5, 68.4, 11
2 1 6, 71.1, 14
3 0 0, 71.8, 17
2 2 0, 85.2, 11

Atomic structure:
a = 4.5570 Å, b = 4.5570 Å, c = 17.3873 Å
α = 90.00°, β = 90.00°, γ = 120.00°
Space group P-3m1 (No. 164)
Unique sites:
Sr1 0.3333 0.6667 0.2552
Sn1 0.3333 0.6667 0.6012
Sn2 0.3333 0.6667 0.8982
Pd1 0.0000 0.0000 0.0000
Pd2 0.0000 0.0000 0.1550
Pd3 0.0000 0.0000 0.3717
Pd4 0.3333 0.6667 0.0622
Pd5 0.3333 0.6667 0.4482

# 10
Simulated X-ray powder pattern of Sr3SnPd4 for Cu Kα X-rays, from a cell relaxed with GGA-PBE.

The 12 most intense peaks (2θ from 10° to 90°), sorted by position:
hkl, Position (°2θ), intensity
0 1 1, 16.0, 30
1 1 -3, 26.2, 15
0 1 4, 30.1, 18
3 1 0, 31.8, 20
0 2 2, 32.3, 15
1 2 -2, 33.6, 30
2 2 0, 35.0, 48
2 1 4, 35.6, 100
1 1 5, 37.4, 16
2 2 2, 37.5, 19
4 0 0, 37.7, 41
1 2 -4, 40.9, 23

Atomic structure:
a = 9.538 Å, b = 6.074 Å, c = 13.627 Å
α = 90.00°, β = 90.03°, γ = 90.00°
Space group P2_1/c (No. 14)
Unique sites:
Sr1 0.052 0.248 0.174
Sr2 0.250 0.530 0.447
Sr3 0.448 0.249 0.175
Sn1 0.250 0.738 0.176
Pd1 0.005 0.196 0.425
Pd2 0.250 0.021 0.324
Pd3 0.250 0.034 0.518
Pd4 0.495 0.196 0.426

# 11
Simulated X-ray powder pattern of Sr3Sn2Pd6 for Cu Kα X-rays, from a cell relaxed with GGA-PBE.

The 12 most intense peaks (2θ from 10° to 90°), sorted by position:
hkl, Position (°2θ), intensity
1 1 0, 12.5, 30
2 0 0, 17.7, 12
3 1 0, 28.1, 13
3 2 1, 33.4, 26
4 0 0, 35.7, 20
3 3 0, 38.0, 100
4 2 0, 40.1, 29
4 2 2, 44.2, 13
5 3 2, 56.4, 13
6 2 2, 61.2, 17
6 3 3, 68.6, 29
6 6 0, 81.2, 17

Atomic structure:
a = 10.049 Å, b = 10.049 Å, c = 10.049 Å
α = 90.00°, β = 90.00°, γ = 90.00°
Space group Im-3m (No. 229)
Unique sites:
Sr1 0.000 0.000 0.304
Sn1 0.250 0.250 0.250
Pd1 0.000 0.326 0.326

# 12
Simulated X-ray powder pattern of Sr3Sn8Pd3 for Cu Kα X-rays, from a cell relaxed with GGA-PBE.

The 12 most intense peaks (2θ from 10° to 90°), sorted by position:
hkl, Position (°2θ), intensity
0 2 0, 15.1, 16
1 1 0, 20.3, 21
1 0 3, 27.3, 16
1 3 0, 29.7, 67
1 2 3, 31.3, 100
0 4 2, 33.2, 22
2 0 0, 38.2, 86
0 5 1, 38.9, 24
0 0 6, 39.7, 17
1 3 4, 40.0, 47
1 2 5, 41.3, 51
2 5 1, 55.7, 17

Atomic structure:
a = 4.703 Å, b = 11.761 Å, c = 13.615 Å
α = 90.00°, β = 90.00°, γ = 90.00°
Space group Immm (No. 71)
Unique sites:
Sr1 0.000 0.000 0.000
Sr2 0.000 0.000 0.332
Sn1 0.000 0.299 0.115
Sn2 0.000 0.371 0.336
Pd1 0.000 0.234 0.500
Pd2 0.000 0.500 0.000